TiCr2O5: computed PXRD pattern (Cu Kα (weighted mean of Kα1 and Kα2)), based on a GGA+U-relaxed structure.
Intensities are scaled so that the largest is 100.

Crystal structure
Unit cell a=10.013 b=5.084 c=7.244 alpha=90.00 beta=112.05 gamma=90.00
Space group C2/c (No. 15)
Unique sites:
Ti  0.000  0.000  0.000 (multiplicity 4)
Cr  0.124  0.493  0.214 (multiplicity 8)
O  0.000  0.192  0.750 (multiplicity 4)
O  0.081  0.335  0.445 (multiplicity 8)
O  0.186  0.148  0.152 (multiplicity 8)

Principal peaks in the range 2θ = 5–70°, low angle first:
index, two_theta, d (Å), intensity
2 0 0, 19.1, 4.640, 73
2 0 -2, 26.3, 3.391, 90
1 1 -2, 30.3, 2.950, 89
3 1 0, 33.9, 2.643, 100
0 2 0, 35.3, 2.542, 52
1 1 2, 36.3, 2.476, 81
5 1 0, 52.5, 1.744, 57
4 2 -2, 52.8, 1.733, 68
3 1 -4, 54.6, 1.682, 71
1 3 2, 64.0, 1.454, 52